1.
Theoretical powder XRD pattern
Compound: Dy5B2O6F9
Radiation: Cu Kα (weighted mean of Kα1 and Kα2)
Structure: a crystal structure in the Materials Project, relaxed with PBE
No peak broadening, texture or thermal motion is included.

Cell and atoms:
a b c (Å): 10.7412 10.7412 8.2981
angles (deg): 99.67 99.67 33.20
Sites, in units of the cell vectors:
Dy 0.0756 0.3126 0.3188
Dy 0.1088 0.8912 0.7500
Dy 0.2796 0.5008 0.0956
Dy 0.3126 0.0756 0.8188
Dy 0.4992 0.7204 0.4044
Dy 0.5008 0.2796 0.5956
Dy 0.6874 0.9244 0.1812
Dy 0.7204 0.4992 0.9044
Dy 0.8912 0.1088 0.2500
Dy 0.9244 0.6874 0.6812
B 0.0152 0.2077 0.5616
B 0.2077 0.0152 0.0616
B 0.7923 0.9848 0.9384
B 0.9848 0.7923 0.4384
O 0.0108 0.8031 0.2854
O 0.0997 0.2177 0.0382
O 0.1472 0.6703 0.5653
O 0.1969 0.9892 0.2146
O 0.2177 0.0997 0.5382
O 0.3297 0.8528 0.9347
O 0.6703 0.1472 0.0653
O 0.7823 0.9003 0.4618
O 0.8031 0.0108 0.7854
O 0.8528 0.3297 0.4347
O 0.9003 0.7823 0.9618
O 0.9892 0.1969 0.7146
F 0.9996 0.4487 0.7875
F 0.0004 0.5513 0.2125
F 0.1487 0.7880 0.0174
F 0.2118 0.3668 0.5205
F 0.2120 0.8513 0.4826
F 0.2901 0.4465 0.8155
F 0.3668 0.2118 0.0205
F 0.4465 0.2901 0.3155
F 0.4487 0.9996 0.2875
F 0.4839 0.5161 0.7500
F 0.5161 0.4839 0.2500
F 0.5513 0.0004 0.7125
F 0.5535 0.7099 0.6845
F 0.6332 0.7882 0.9795
F 0.7099 0.5535 0.1845
F 0.7880 0.1487 0.5174
F 0.7882 0.6332 0.4795
F 0.8513 0.2120 0.9826

Largest 6 diffraction maxima, by angle, 10 to 90 degrees two-theta:
4.042 Å, 2θ 21.99, I = 40; 3.577 Å, 2θ 24.89, I = 38; 3.382 Å, 2θ 26.35, I = 100; 3.301 Å, 2θ 27.02, I = 53; 2.873 Å, 2θ 31.13, I = 76; 1.960 Å, 2θ 46.32, I = 42

=====

2.
Theoretical powder XRD pattern
Compound: Dy3FeB7
Radiation: Cu Kα (weighted mean of Kα1 and Kα2)
Structure: a crystal structure in the Materials Project, relaxed with PBE
No peak broadening, texture or thermal motion is included.

Cell and atoms:
a b c (Å): 8.0352 8.0352 9.3086
angles (deg): 90.00 90.00 155.41
Sites, in units of the cell vectors:
Dy 0.1047 0.8953 0.5599
Dy 0.1047 0.8953 0.9401
Dy 0.2431 0.7569 0.2500
Dy 0.7569 0.2431 0.7500
Dy 0.8953 0.1047 0.0599
Dy 0.8953 0.1047 0.4401
Fe 0.0544 0.9456 0.2500
Fe 0.9456 0.0544 0.7500
B 0.2728 0.7272 0.5328
B 0.2728 0.7272 0.9672
B 0.3704 0.6296 0.6533
B 0.3704 0.6296 0.8467
B 0.4597 0.5403 0.2500
B 0.4784 0.5216 0.5990
B 0.4784 0.5216 0.9010
B 0.5216 0.4784 0.0990
B 0.5216 0.4784 0.4010
B 0.5403 0.4597 0.7500
B 0.6296 0.3704 0.1533
B 0.6296 0.3704 0.3467
B 0.7272 0.2728 0.0328
B 0.7272 0.2728 0.4672

Largest 6 diffraction maxima, by angle, 10 to 90 degrees two-theta:
3.344 Å, 2θ 26.66, I = 78; 3.001 Å, 2θ 29.77, I = 97; 2.886 Å, 2θ 30.99, I = 70; 2.738 Å, 2θ 32.71, I = 59; 2.617 Å, 2θ 34.27, I = 43; 2.275 Å, 2θ 39.62, I = 100

=====

3.
Theoretical powder XRD pattern
Compound: DyFeB4
Radiation: Cu Kα (weighted mean of Kα1 and Kα2)
Structure: a crystal structure in the Materials Project, relaxed with PBE
No peak broadening, texture or thermal motion is included.

Cell and atoms:
a b c (Å): 5.8865 11.3850 3.3800
angles (deg): 90.00 90.00 90.00
Sites, in units of the cell vectors:
Dy 0.1275 0.1504 0.0000
Dy 0.3725 0.6504 0.0000
Dy 0.6275 0.3496 0.0000
Dy 0.8725 0.8496 0.0000
Fe 0.1342 0.4116 0.0000
Fe 0.3658 0.9116 0.0000
Fe 0.6342 0.0884 0.0000
Fe 0.8658 0.5884 0.0000
B 0.0229 0.6898 0.5000
B 0.1111 0.5457 0.5000
B 0.1387 0.9679 0.5000
B 0.2167 0.8163 0.5000
B 0.2833 0.3163 0.5000
B 0.3613 0.4679 0.5000
B 0.3889 0.0457 0.5000
B 0.4771 0.1898 0.5000
B 0.5229 0.8102 0.5000
B 0.6111 0.9543 0.5000
B 0.6387 0.5321 0.5000
B 0.7167 0.6837 0.5000
B 0.7833 0.1837 0.5000
B 0.8613 0.0321 0.5000
B 0.8889 0.4543 0.5000
B 0.9771 0.3102 0.5000

Largest 6 diffraction maxima, by angle, 10 to 90 degrees two-theta:
4.092 Å, 2θ 21.72, I = 24; 3.380 Å, 2θ 26.37, I = 65; 3.190 Å, 2θ 27.97, I = 30; 2.848 Å, 2θ 31.41, I = 86; 2.320 Å, 2θ 38.82, I = 32; 2.178 Å, 2θ 41.46, I = 100

=====

4.
Theoretical powder XRD pattern
Compound: DyGa3B4O12
Radiation: Cu Kα (weighted mean of Kα1 and Kα2)
Structure: a crystal structure in the Materials Project, relaxed with PBE
No peak broadening, texture or thermal motion is included.

Cell and atoms:
a b c (Å): 6.0590 6.0590 6.0590
angles (deg): 104.05 104.05 104.05
Sites, in units of the cell vectors:
Dy 0.0000 0.0000 0.0000
Ga 0.0000 0.5478 0.4522
Ga 0.4522 0.0000 0.5478
Ga 0.5478 0.4522 0.0000
B 0.0496 0.5000 0.9504
B 0.5000 0.5000 0.5000
B 0.5000 0.9504 0.0496
B 0.9504 0.0496 0.5000
O 0.0246 0.6307 0.7935
O 0.0949 0.9051 0.5000
O 0.2065 0.3693 0.9754
O 0.3550 0.6450 0.5000
O 0.3693 0.9754 0.2065
O 0.5000 0.0949 0.9051
O 0.5000 0.3550 0.6450
O 0.6307 0.7935 0.0246
O 0.6450 0.5000 0.3550
O 0.7935 0.0246 0.6307
O 0.9051 0.5000 0.0949
O 0.9754 0.2065 0.3693

Largest 6 diffraction maxima, by angle, 10 to 90 degrees two-theta:
4.776 Å, 2θ 18.58, I = 22; 3.625 Å, 2θ 24.56, I = 92; 2.888 Å, 2θ 30.97, I = 24; 2.784 Å, 2θ 32.15, I = 100; 2.388 Å, 2θ 37.67, I = 28; 1.730 Å, 2θ 52.93, I = 31

=====

5.
Theoretical powder XRD pattern
Compound: Dy5Ge3B
Radiation: Cu Kα (weighted mean of Kα1 and Kα2)
Structure: a crystal structure in the Materials Project, relaxed with PBE
No peak broadening, texture or thermal motion is included.

Cell and atoms:
a b c (Å): 8.6405 8.6405 6.3707
angles (deg): 90.00 90.00 120.00
Sites, in units of the cell vectors:
Dy 0.0000 0.2386 0.2500
Dy 0.0000 0.7614 0.7500
Dy 0.2386 0.0000 0.2500
Dy 0.2386 0.2386 0.7500
Dy 0.3333 0.6667 0.0000
Dy 0.3333 0.6667 0.5000
Dy 0.6667 0.3333 0.0000
Dy 0.6667 0.3333 0.5000
Dy 0.7614 0.0000 0.7500
Dy 0.7614 0.7614 0.2500
Ge 0.0000 0.3968 0.7500
Ge 0.0000 0.6032 0.2500
Ge 0.3968 0.0000 0.7500
Ge 0.3968 0.3968 0.2500
Ge 0.6032 0.0000 0.2500
Ge 0.6032 0.6032 0.7500
B 0.0000 0.0000 0.0000
B 0.0000 0.0000 0.5000

Largest 6 diffraction maxima, by angle, 10 to 90 degrees two-theta:
2.931 Å, 2θ 30.50, I = 31; 2.828 Å, 2θ 31.64, I = 40; 2.585 Å, 2θ 34.70, I = 100; 2.564 Å, 2θ 35.00, I = 82; 2.494 Å, 2θ 36.01, I = 36; 1.698 Å, 2θ 54.00, I = 28

=====

6.
Theoretical powder XRD pattern
Compound: DyBH4
Radiation: Cu Kα (weighted mean of Kα1 and Kα2)
Structure: a crystal structure in the Materials Project, relaxed with PBE
No peak broadening, texture or thermal motion is included.

Cell and atoms:
a b c (Å): 6.9109 6.9109 6.9109
angles (deg): 145.82 60.72 131.43
Sites, in units of the cell vectors:
Dy 0.0000 0.0000 0.0000
Dy 0.3444 0.0088 0.3357
Dy 0.6731 0.0088 0.6643
B 0.1725 0.5071 0.6654
B 0.5100 0.5100 0.0000
B 0.8416 0.5071 0.3346
H 0.1479 0.3908 0.7570
H 0.3001 0.3825 0.4106
H 0.3001 0.8895 0.9176
H 0.3760 0.1240 0.7479
H 0.3760 0.6281 0.2521
H 0.5482 0.6387 0.9096
H 0.6338 0.3908 0.2430
H 0.7291 0.6387 0.0904
H 0.7908 0.3716 0.4192
H 0.9524 0.3716 0.5808
H 0.9719 0.3825 0.0824
H 0.9719 0.8895 0.5894

Largest 6 diffraction maxima, by angle, 10 to 90 degrees two-theta:
3.305 Å, 2θ 26.98, I = 77; 3.258 Å, 2θ 27.38, I = 75; 2.841 Å, 2θ 31.48, I = 100; 2.009 Å, 2θ 45.12, I = 49; 1.724 Å, 2θ 53.14, I = 26; 1.703 Å, 2θ 53.82, I = 25